Simulated X-ray powder pattern
Compound: Ca2MnNb2O8
Radiation: Cu Kα X-rays
Structure: a cell relaxed with GGA+U
Neutral-atom scattering factors, no anomalous dispersion.

Peak list (12 most intense, 15 to 90 degrees two-theta, in order of rising 2θ)
| h k l | 2θ/deg | d (Å) | intensity |
| --- | --- | --- | --- |
| 4 0 0 | 18.3 | 4.843 | 25 |
| 3 1 0 | 19.6 | 4.523 | 38 |
| 5 1 0 | 27.0 | 3.306 | 65 |
| 5 1 -1 | 31.1 | 2.874 | 100 |
| 5 1 1 | 31.9 | 2.806 | 79 |
| 0 0 2 | 32.3 | 2.772 | 58 |
| 0 2 1 | 32.5 | 2.751 | 77 |
| 4 2 1 | 37.9 | 2.376 | 30 |
| 5 1 2 | 43.1 | 2.097 | 26 |
| 5 3 0 | 49.1 | 1.854 | 60 |
| 5 1 -3 | 56.4 | 1.632 | 26 |
| 0 2 3 | 57.8 | 1.596 | 60 |

Structure:
Unit cell a=19.382 b=6.337 c=5.547 alpha=90.00 beta=91.81 gamma=90.00
Space group C2/c (No. 15)
One atom of each set of equivalent atoms:
1 Ca 0.210 0.187 0.243 [8 per cell]
2 Mn 0.000 0.147 0.250 [4 per cell]
3 Nb 0.113 0.346 0.758 [8 per cell]
4 O 0.058 0.149 0.592 [8 per cell]
5 O 0.073 0.375 0.090 [8 per cell]
6 O 0.184 0.439 0.512 [8 per cell]
7 O 0.185 0.146 0.847 [8 per cell]